Calculated X-ray diffraction stick pattern
Compound: Cs3NaMg2Cl8
Radiation: Cu Kα (weighted mean of Kα1 and Kα2)
Structure: a DFT-relaxed cell (PBE, Alexandria)

Crystal structure
abc: 7.5547 7.5547 9.7377
angles: 90.00 90.00 120.00
Space group P-3m1 (No. 164)
Inequivalent atoms, fractional coordinates:
Cs (0.0000, 0.0000, 0.0000) (multiplicity 1)
Cs (0.3333, 0.6667, 0.6373) (multiplicity 2)
Na (0.0000, 0.0000, 0.5000) (multiplicity 1)
Mg (0.3333, 0.6667, 0.2218) (multiplicity 2)
Cl (0.1681, 0.3361, 0.3179) (multiplicity 6)
Cl (0.3333, 0.6667, 0.9845) (multiplicity 2)

Largest 12 diffraction maxima, in order of rising 2θ, 15 to 90 degrees two-theta:
| hkl | 2θ (°) | Rel. int. |
| --- | --- | --- |
| 1 0 1 | 16.32 | 47 |
| 0 1 2 | 22.77 | 49 |
| 1 1 0 | 23.55 | 100 |
| 0 0 3 | 27.48 | 35 |
| 0 2 1 | 28.79 | 73 |
| 2 0 2 | 32.99 | 73 |
| 1 1 3 | 36.50 | 26 |
| 1 2 2 | 40.93 | 22 |
| 3 0 0 | 41.40 | 22 |
| 0 2 4 | 46.50 | 21 |
| 2 2 0 | 48.18 | 35 |
| 2 2 3 | 56.36 | 25 |

---

Calculated X-ray diffraction stick pattern
Compound: Li2In3Hg2
Radiation: Cu Kα (weighted mean of Kα1 and Kα2)
Structure: a DFT-relaxed cell (PBE, Alexandria)

Crystal structure
abc: 3.2260 30.8064 3.1947
angles: 90.00 90.00 90.00
Space group Cmmm (No. 65)
Inequivalent atoms, fractional coordinates:
Li (0.0000, 0.1493, 0.0000) (multiplicity 4)
In (0.0000, 0.0000, 0.0000) (multiplicity 2)
In (0.0000, 0.4165, 0.5000) (multiplicity 4)
Hg (0.0000, 0.2934, 0.5000) (multiplicity 4)

Largest 12 diffraction maxima, in order of rising 2θ, 15 to 90 degrees two-theta:
| hkl | 2θ (°) | Rel. int. |
| --- | --- | --- |
| 0 0 1 | 27.93 | 42 |
| 0 2 1 | 28.53 | 36 |
| 0 10 0 | 29.00 | 100 |
| 0 6 1 | 33.02 | 24 |
| 1 7 0 | 34.47 | 95 |
| 0 8 1 | 36.55 | 35 |
| 1 1 1 | 39.82 | 48 |
| 0 10 1 | 40.69 | 26 |
| 1 7 1 | 44.93 | 38 |
| 1 17 0 | 58.41 | 22 |
| 0 10 2 | 65.91 | 34 |
| 1 7 2 | 68.99 | 25 |

---

Calculated X-ray diffraction stick pattern
Compound: PmZr2Ta
Radiation: Cu Kα (weighted mean of Kα1 and Kα2)
Structure: a DFT-relaxed cell (PBE, Alexandria)

Crystal structure
abc: 3.5248 3.5248 7.7996
angles: 90.00 90.00 90.00
Space group P4/mmm (No. 123)
Inequivalent atoms, fractional coordinates:
Pm (0.0000, 0.0000, 0.0000) (multiplicity 1)
Zr (0.5000, 0.5000, 0.2963) (multiplicity 2)
Ta (0.0000, 0.0000, 0.5000) (multiplicity 1)

Largest 12 diffraction maxima, in order of rising 2θ, 15 to 90 degrees two-theta:
| hkl | 2θ (°) | Rel. int. |
| --- | --- | --- |
| 0 0 2 | 22.80 | 8 |
| 1 0 0 | 25.27 | 9 |
| 1 0 2 | 34.29 | 100 |
| 1 1 0 | 36.03 | 49 |
| 0 0 4 | 46.58 | 7 |
| 2 0 0 | 51.88 | 17 |
| 1 0 4 | 53.72 | 8 |
| 1 1 4 | 60.26 | 14 |
| 2 1 2 | 63.67 | 33 |
| 2 0 4 | 72.26 | 8 |
| 3 0 2 | 86.51 | 7 |
| 3 1 0 | 87.52 | 8 |

---

Calculated X-ray diffraction stick pattern
Compound: Tl2Hg3Pb8
Radiation: Cu Kα (weighted mean of Kα1 and Kα2)
Structure: a DFT-relaxed cell (PBE, Alexandria)

Crystal structure
abc: 11.1317 3.4237 11.7265
angles: 90.00 117.62 90.00
Space group P2/m (No. 10)
Inequivalent atoms, fractional coordinates:
Tl (0.1548, 0.0000, 0.1200) (multiplicity 2)
Hg (0.0000, 0.0000, 0.5000) (multiplicity 1)
Hg (0.3016, 0.5000, 0.7228) (multiplicity 2)
Pb (0.0915, 0.0000, 0.7929) (multiplicity 2)
Pb (0.2334, 0.5000, 0.4172) (multiplicity 2)
Pb (0.3777, 0.5000, 0.0415) (multiplicity 2)
Pb (0.4806, 0.0000, 0.3460) (multiplicity 2)

Largest 12 diffraction maxima, in order of rising 2θ, 15 to 90 degrees two-theta:
| hkl | 2θ (°) | Rel. int. |
| --- | --- | --- |
| 1 1 0 | 27.59 | 43 |
| 2 1 -1 | 30.66 | 49 |
| 1 0 3 | 31.08 | 100 |
| 2 1 0 | 31.82 | 48 |
| 3 0 -4 | 32.55 | 82 |
| 4 0 -1 | 33.23 | 79 |
| 1 1 -3 | 34.96 | 33 |
| 2 1 -3 | 35.40 | 32 |
| 1 1 -4 | 41.13 | 25 |
| 0 2 0 | 53.54 | 25 |
| 1 2 3 | 63.20 | 28 |
| 4 2 -1 | 64.49 | 34 |